This entry pairs a crystal structure of Rb2NaHg6 with its simulated powder X-ray diffraction pattern. Radiation: Cu Kα, 1.54184 Å. Structure: DFT lattice parameters and positions (GGA-PBE).

Atomic structure:
a = 9.488 Å, b = 9.488 Å, c = 3.838 Å
α = 90.00°, β = 90.00°, γ = 120.00°
Fractional coordinates of all 9 atoms:
Rb 0.333 0.667 0.000
Rb 0.667 0.333 0.000
Na 0.000 0.000 0.000
Hg 0.000 0.322 0.500
Hg 0.000 0.678 0.500
Hg 0.322 0.000 0.500
Hg 0.322 0.322 0.500
Hg 0.678 0.000 0.500
Hg 0.678 0.678 0.500

Largest 10 diffraction maxima, most intense first, 10° ≤ 2θ ≤ 90°:
d 2.739, intensity 100
d 2.984, intensity 83
d 2.229, intensity 58
d 3.838, intensity 41
d 1.572, intensity 38
d 4.744, intensity 31
d 2.018, intensity 27
d 1.625, intensity 27
d 1.581, intensity 18
d 1.220, intensity 16